La3CoO6: calculated X-ray powder pattern (Cu Kα X-rays), based on a DFT-relaxed cell (PBE+U, OQMD).
Kinematic intensities with the Lorentz-polarization factor, no thermal factor.

Atomic structure:
Lattice parameters (Å, degrees): 7.495 7.495 5.663 90.00 90.00 102.90
Fractional positions:
La 0.106 0.894 0.500
La 0.194 0.413 0.460
La 0.413 0.194 0.960
La 0.587 0.806 0.460
La 0.806 0.587 0.960
La 0.894 0.106 0.000
Co 0.314 0.686 0.927
Co 0.686 0.314 0.427
O 0.088 0.607 0.754
O 0.148 0.171 0.726
O 0.171 0.148 0.226
O 0.283 0.717 0.244
O 0.393 0.912 0.754
O 0.454 0.546 0.784
O 0.546 0.454 0.284
O 0.607 0.088 0.254
O 0.717 0.283 0.744
O 0.829 0.852 0.726
O 0.852 0.829 0.226
O 0.912 0.393 0.254

Top 12 peaks for 5 to 70 degrees two-theta, in order of rising 2θ:
two_theta  d [Å]  I_rel
19.84  4.476  13.1
29.09  3.070  100.0
29.37  3.041  31.9
29.69  3.009  13.3
30.50  2.931  12.5
31.60  2.832  17.6
43.90  2.062  20.3
44.49  2.036  20.1
48.61  1.873  17.1
54.73  1.677  13.3
57.01  1.615  14.2
59.14  1.562  10.7